# 1
Structure and simulated powder diffractogram of Sc3Ag2Hg7 (a PBE-relaxed structure; Cu Kα (λ = 1.5418 Å)).
Lines closer than 0.1° are merged.

Crystal structure
```
data_Sc3Ag2Hg7
_cell_length_a 4.7958
_cell_length_b 4.7152
_cell_length_c 12.4822
_cell_angle_alpha 90.00
_cell_angle_beta 100.98
_cell_angle_gamma 90.00
_space_group_name_H-M_alt 'P 1 2/m 1'
_space_group_IT_number 10
loop_
_space_group_symop_operation_xyz
'x,y,z'
'-x,-y,-z'
'-x,y,-z'
'x,-y,z'
loop_
_atom_site_label
_atom_site_type_symbol
_atom_site_fract_x
_atom_site_fract_y
_atom_site_fract_z
Sc1 Sc 0.0000 0.0000 0.0000
Sc2 Sc 0.3498 0.5000 0.6997
Ag1 Ag 0.1508 0.0000 0.3027
Hg1 Hg 0.0807 0.5000 0.1603
Hg2 Hg 0.2783 0.0000 0.5568
Hg3 Hg 0.4239 0.0000 0.8463
Hg4 Hg 0.5000 0.5000 0.0000
```

Most intense lines, 10 to 90 degrees two-theta, in order of rising 2θ:
(0 1 1), 20.18 deg, d 4.401, intensity 25
(1 0 2), 25.99 deg, d 3.428, intensity 10
(1 1 -1), 26.76 deg, d 3.331, intensity 10
(1 1 -3), 32.29 deg, d 2.773, intensity 16
(1 1 3), 37.07 deg, d 2.425, intensity 100
(2 0 -1), 37.51 deg, d 2.398, intensity 27
(0 2 0), 38.17 deg, d 2.357, intensity 26
(2 2 -1), 54.59 deg, d 1.681, intensity 18
(3 1 2), 67.39 deg, d 1.390, intensity 17
(1 3 3), 68.27 deg, d 1.374, intensity 17

---

# 2
Structure and simulated powder diffractogram of ScAg6Hg (a PBE-relaxed structure; Cu Kα (λ = 1.5418 Å)).
Lines closer than 0.1° are merged.

Crystal structure
```
data_ScAg6Hg
_cell_length_a 8.3684
_cell_length_b 5.6366
_cell_length_c 7.4558
_cell_angle_alpha 90.00
_cell_angle_beta 105.37
_cell_angle_gamma 90.00
_space_group_name_H-M_alt 'C 1 2/m 1'
_space_group_IT_number 12
loop_
_space_group_symop_operation_xyz
'x,y,z'
'-x,-y,-z'
'-x,y,-z'
'x,-y,z'
'x+1/2,y+1/2,z'
'-x+1/2,-y+1/2,-z'
'-x+1/2,y+1/2,-z'
'x+1/2,-y+1/2,z'
loop_
_atom_site_label
_atom_site_type_symbol
_atom_site_fract_x
_atom_site_fract_y
_atom_site_fract_z
Sc1 Sc 0.0000 0.0000 0.0000
Ag1 Ag 0.1411 0.5000 0.9385
Ag2 Ag 0.2073 0.2573 0.2996
Hg1 Hg 0.0000 0.5000 0.5000
```

Most intense lines, 10 to 90 degrees two-theta, in order of rising 2θ:
(1 1 0), 19.21 deg, d 4.621, intensity 100
(1 1 2), 33.84 deg, d 2.649, intensity 41
(3 1 -1), 36.11 deg, d 2.487, intensity 53
(2 0 2), 37.67 deg, d 2.388, intensity 68
(2 0 -3), 38.26 deg, d 2.352, intensity 66
(2 2 0), 38.98 deg, d 2.310, intensity 63
(2 2 -1), 39.10 deg, d 2.304, intensity 70
(0 2 2), 40.68 deg, d 2.218, intensity 97
(4 0 -1), 43.25 deg, d 2.092, intensity 41
(4 2 1), 60.54 deg, d 1.529, intensity 23

---

# 3
Structure and simulated powder diffractogram of Sc4Ag4Hg3 (a PBE-relaxed structure; Cu Kα (λ = 1.5418 Å)).
Lines closer than 0.1° are merged.

Crystal structure
```
data_Sc4Ag4Hg3
_cell_length_a 3.6021
_cell_length_b 3.6021
_cell_length_c 34.2000
_cell_angle_alpha 90.00
_cell_angle_beta 90.00
_cell_angle_gamma 90.00
_space_group_name_H-M_alt 'I 4/m m m'
_space_group_IT_number 139
_space_group_name_Hall '-I 4 2'
loop_
_atom_site_label
_atom_site_type_symbol
_atom_site_fract_x
_atom_site_fract_y
_atom_site_fract_z
Sc1 Sc 0.0000 0.0000 0.0489
Sc2 Sc 0.0000 0.0000 0.3154
Ag1 Ag 0.0000 0.0000 0.2293
Ag2 Ag 0.0000 0.0000 0.4064
Hg1 Hg 0.0000 0.0000 0.1392
Hg2 Hg 0.0000 0.0000 0.5000
```

Most intense lines, 10 to 90 degrees two-theta, in order of rising 2θ:
(0 0 8), 20.78 deg, d 4.275, intensity 16
(1 0 3), 25.94 deg, d 3.435, intensity 37
(1 1 0), 35.24 deg, d 2.547, intensity 65
(1 0 11), 38.24 deg, d 2.354, intensity 100
(1 1 8), 41.26 deg, d 2.188, intensity 12
(2 0 0), 50.69 deg, d 1.801, intensity 22
(2 1 11), 65.23 deg, d 1.430, intensity 40
(1 1 22), 71.04 deg, d 1.327, intensity 14
(2 0 22), 81.85 deg, d 1.177, intensity 10
(3 1 0), 85.18 deg, d 1.139, intensity 10

---

# 4
Structure and simulated powder diffractogram of AgHg3Se4 (a PBE-relaxed structure; Cu Kα (λ = 1.5418 Å)).
Lines closer than 0.1° are merged.

Crystal structure
```
data_AgHg3Se4
_cell_length_a 8.6976
_cell_length_b 7.5401
_cell_length_c 7.2086
_cell_angle_alpha 90.00
_cell_angle_beta 90.00
_cell_angle_gamma 90.00
_space_group_name_H-M_alt 'P m n 21'
_space_group_IT_number 31
loop_
_space_group_symop_operation_xyz
'x,y,z'
'-x+1/2,-y,z+1/2'
'-x,y,z'
'x+1/2,-y,z+1/2'
loop_
_atom_site_label
_atom_site_type_symbol
_atom_site_fract_x
_atom_site_fract_y
_atom_site_fract_z
Ag1 Ag 0.0000 0.1661 0.0000
Hg1 Hg 0.0000 0.8313 0.5007
Hg2 Hg 0.2497 0.3330 0.5002
Se1 Se 0.0000 0.1658 0.6358
Se2 Se 0.0000 0.8404 0.1264
Se3 Se 0.2442 0.3304 0.1262
```

Most intense lines, 10 to 90 degrees two-theta, in order of rising 2θ:
(0 2 0), 23.61 deg, d 3.768, intensity 82
(0 0 2), 24.70 deg, d 3.604, intensity 54
(2 1 1), 26.69 deg, d 3.339, intensity 100
(0 2 2), 34.43 deg, d 2.605, intensity 35
(4 0 0), 41.51 deg, d 2.176, intensity 75
(2 1 3), 44.73 deg, d 2.026, intensity 81
(4 0 2), 48.90 deg, d 1.863, intensity 52
(0 4 3), 62.66 deg, d 1.483, intensity 30
(2 1 5), 69.85 deg, d 1.347, intensity 20
(4 4 3), 77.99 deg, d 1.225, intensity 32

---

# 5
Structure and simulated powder diffractogram of AgHg2Se (a PBE-relaxed structure; Cu Kα (λ = 1.5418 Å)).
Lines closer than 0.1° are merged.

Crystal structure
```
data_AgHg2Se
_cell_length_a 4.6986
_cell_length_b 4.4732
_cell_length_c 4.9685
_cell_angle_alpha 90.00
_cell_angle_beta 105.81
_cell_angle_gamma 90.00
_space_group_name_H-M_alt 'P 1 m 1'
_space_group_IT_number 6
loop_
_space_group_symop_operation_xyz
'x,y,z'
'x,-y,z'
loop_
_atom_site_label
_atom_site_type_symbol
_atom_site_fract_x
_atom_site_fract_y
_atom_site_fract_z
Ag1 Ag 0.0000 0.0000 0.0000
Hg1 Hg 0.2561 0.5000 0.7472
Hg2 Hg 0.5322 0.0000 0.4765
Se1 Se 0.8226 0.5000 0.1875
```

Most intense lines, 10 to 90 degrees two-theta, in order of rising 2θ:
(0 1 1), 27.30 deg, d 3.266, intensity 10
(1 1 0), 28.06 deg, d 3.180, intensity 10
(1 0 1), 30.66 deg, d 2.916, intensity 100
(0 2 0), 40.32 deg, d 2.237, intensity 17
(0 1 2), 42.90 deg, d 2.108, intensity 26
(2 1 0), 44.93 deg, d 2.017, intensity 23
(2 0 -2), 47.22 deg, d 1.925, intensity 8
(1 2 1), 51.52 deg, d 1.774, intensity 16
(1 3 -1), 67.35 deg, d 1.390, intensity 7
(1 1 3), 71.03 deg, d 1.327, intensity 11

---

# 6
Structure and simulated powder diffractogram of AgHgSe2 (a PBE-relaxed structure; Cu Kα (λ = 1.5418 Å)).
Lines closer than 0.1° are merged.

Crystal structure
```
data_AgHgSe2
_cell_length_a 5.1667
_cell_length_b 11.5162
_cell_length_c 6.8822
_cell_angle_alpha 90.00
_cell_angle_beta 90.00
_cell_angle_gamma 90.00
_space_group_name_H-M_alt 'P b c n'
_space_group_IT_number 60
loop_
_space_group_symop_operation_xyz
'x,y,z'
'-x,-y,-z'
'-x+1/2,-y+1/2,z+1/2'
'x+1/2,y+1/2,-z+1/2'
'x+1/2,-y+1/2,-z'
'-x+1/2,y+1/2,z'
'-x,y,-z+1/2'
'x,-y,z+1/2'
loop_
_atom_site_label
_atom_site_type_symbol
_atom_site_fract_x
_atom_site_fract_y
_atom_site_fract_z
Ag1 Ag 0.0000 0.2480 0.2500
Hg1 Hg 0.0000 0.0830 0.7500
Se1 Se 0.1901 0.3866 0.5327
```

Most intense lines, 10 to 90 degrees two-theta, in order of rising 2θ:
(1 1 0), 18.82 deg, d 4.714, intensity 28
(0 2 1), 20.11 deg, d 4.416, intensity 27
(1 2 1), 26.55 deg, d 3.357, intensity 32
(1 3 1), 31.82 deg, d 2.812, intensity 100
(1 1 2), 32.21 deg, d 2.779, intensity 43
(2 2 1), 40.45 deg, d 2.230, intensity 19
(0 2 3), 42.41 deg, d 2.131, intensity 15
(2 0 2), 43.82 deg, d 2.066, intensity 35
(1 3 3), 49.54 deg, d 1.840, intensity 22
(1 5 2), 50.88 deg, d 1.795, intensity 17